# PrMn2B2O7
Computed X-ray diffraction stick pattern, a wavelength of 1.5418 Å. Input: the PBE+U geometry in Alexandria.

The 10 most intense peaks (2θ = 15–90°), in order of rising 2θ:
2θ (°), I_rel
21.44, 100
24.44, 58
26.48, 46
31.31, 83
35.64, 50
41.97, 29
47.53, 36
52.79, 20
55.38, 23
56.21, 22

Structure:
a b c (Å): 9.287 9.287 9.287
angles (deg): 31.48 31.48 31.48
Positions (direct):
1 Pr 0.000 0.000 0.000
2 Mn 0.429 0.429 0.429
3 Mn 0.571 0.571 0.571
4 B 0.275 0.275 0.275
5 B 0.725 0.725 0.725
6 O 0.006 0.457 0.709
7 O 0.291 0.543 0.994
8 O 0.457 0.709 0.006
9 O 0.500 0.500 0.500
10 O 0.543 0.994 0.291
11 O 0.709 0.006 0.457
12 O 0.994 0.291 0.543